1.
Diffraction record for LiTm2Br5. The powder diffraction line list is theoretical, not measured: it uses the GGA-PBE geometry in the Materials Project and Cu Kα (weighted mean of Kα1 and Kα2).
Peak positions follow from Bragg's law for the DFT cell and can differ from measured ones.

Most intense lines, 2θ from 15° to 90°, by angle:
17.43 deg, I 52; 21.05 deg, I 51; 27.46 deg, I 42; 28.66 deg, I 100; 33.62 deg, I 69; 35.70 deg, I 32; 36.76 deg, I 72; 39.00 deg, I 52; 41.19 deg, I 33; 48.15 deg, I 59

Atomic structure:
```
data_LiTm2Br5
_chemical_formula_sum 'Li2 Tm4 Br10'
_cell_length_a 9.7572
_cell_length_b 9.7572
_cell_length_c 7.9887
_cell_angle_alpha 105.18
_cell_angle_beta 105.18
_cell_angle_gamma 39.91
_symmetry_space_group_name_H-M 'P 1'
_symmetry_Int_Tables_number 1
_symmetry_space_group_name_Hall 'P 1'
loop_
_atom_site_label
_atom_site_fract_x
_atom_site_fract_y
_atom_site_fract_z
Li1 0.0000 0.5000 0.0000
Li2 0.5000 0.0000 0.5000
Tm1 0.1727 0.7253 0.5314
Tm2 0.2747 0.8273 0.9686
Tm3 0.7253 0.1727 0.0314
Tm4 0.8273 0.2747 0.4686
Br1 0.1112 0.8888 0.2500
Br2 0.1292 0.2573 0.6085
Br3 0.2573 0.1292 0.1085
Br4 0.3277 0.4891 0.8211
Br5 0.4891 0.3277 0.3211
Br6 0.5109 0.6723 0.6789
Br7 0.6723 0.5109 0.1789
Br8 0.7427 0.8708 0.8915
Br9 0.8708 0.7427 0.3915
Br10 0.8888 0.1112 0.7500
```

---

2.
Diffraction record for YGe. The powder diffraction line list is theoretical, not measured: it uses the GGA-PBE geometry in the Materials Project and Cu Kα (weighted mean of Kα1 and Kα2).
Peak positions follow from Bragg's law for the DFT cell and can differ from measured ones.

Most intense lines, 2θ from 15° to 90°, by angle:
31.77 deg, I 100; 32.48 deg, I 23; 33.29 deg, I 30; 39.81 deg, I 68; 40.49 deg, I 19; 41.96 deg, I 27; 45.72 deg, I 21; 54.58 deg, I 14; 63.78 deg, I 15; 64.31 deg, I 12

Atomic structure:
```
data_YGe
_chemical_formula_sum 'Y2 Ge2'
_cell_length_a 5.7978
_cell_length_b 5.7978
_cell_length_c 3.9689
_cell_angle_alpha 90.00
_cell_angle_beta 90.00
_cell_angle_gamma 136.40
_symmetry_space_group_name_H-M 'P 1'
_symmetry_Int_Tables_number 1
_symmetry_space_group_name_Hall 'P 1'
loop_
_atom_site_label
_atom_site_fract_x
_atom_site_fract_y
_atom_site_fract_z
Y1 0.1382 0.8618 0.7500
Y2 0.8618 0.1382 0.2500
Ge1 0.4148 0.5852 0.7500
Ge2 0.5852 0.4148 0.2500
```

---

3.
Diffraction record for Ce2Ga9CoGe2. The powder diffraction line list is theoretical, not measured: it uses the GGA-PBE geometry in the Materials Project and Cu Kα (weighted mean of Kα1 and Kα2).
Peak positions follow from Bragg's law for the DFT cell and can differ from measured ones.

Most intense lines, 2θ from 15° to 90°, by angle:
31.72 deg, I 30; 32.32 deg, I 100; 35.42 deg, I 24; 38.42 deg, I 60; 43.00 deg, I 67; 47.10 deg, I 18; 56.89 deg, I 21; 62.44 deg, I 20; 72.08 deg, I 17; 75.75 deg, I 14

Atomic structure:
```
data_Ce2Ga9CoGe2
_chemical_formula_sum 'Ce4 Ga18 Co2 Ge4'
_cell_length_a 5.9492
_cell_length_b 5.9492
_cell_length_c 15.2069
_cell_angle_alpha 90.00
_cell_angle_beta 90.00
_cell_angle_gamma 90.00
_symmetry_space_group_name_H-M 'P 1'
_symmetry_Int_Tables_number 1
_symmetry_space_group_name_Hall 'P 1'
loop_
_atom_site_label
_atom_site_fract_x
_atom_site_fract_y
_atom_site_fract_z
Ce1 0.2500 0.7500 0.2443
Ce2 0.2500 0.7500 0.7557
Ce3 0.7500 0.2500 0.2443
Ce4 0.7500 0.2500 0.7557
Ga1 0.0108 0.0108 0.0849
Ga2 0.0108 0.4892 0.0849
Ga3 0.0300 0.0300 0.4165
Ga4 0.0300 0.4700 0.4165
Ga5 0.2500 0.2500 0.6529
Ga6 0.4700 0.0300 0.4165
Ga7 0.4700 0.4700 0.4165
Ga8 0.4892 0.0108 0.0849
Ga9 0.4892 0.4892 0.0849
Ga10 0.5108 0.5108 0.9151
Ga11 0.5108 0.9892 0.9151
Ga12 0.5300 0.5300 0.5835
Ga13 0.5300 0.9700 0.5835
Ga14 0.7500 0.7500 0.3471
Ga15 0.9700 0.5300 0.5835
Ga16 0.9700 0.9700 0.5835
Ga17 0.9892 0.5108 0.9151
Ga18 0.9892 0.9892 0.9151
Co1 0.2500 0.7500 0.0000
Co2 0.7500 0.2500 0.0000
Ge1 0.2500 0.2500 0.2219
Ge2 0.2500 0.2500 0.8131
Ge3 0.7500 0.7500 0.1869
Ge4 0.7500 0.7500 0.7781
```

---

4.
Diffraction record for DyAgTe2. The powder diffraction line list is theoretical, not measured: it uses the GGA-PBE geometry in the Materials Project and Cu Kα (weighted mean of Kα1 and Kα2).
Peak positions follow from Bragg's law for the DFT cell and can differ from measured ones.

Most intense lines, 2θ from 15° to 90°, by angle:
25.83 deg, I 100; 28.04 deg, I 29; 31.45 deg, I 58; 33.94 deg, I 84; 35.69 deg, I 80; 42.17 deg, I 39; 42.63 deg, I 58; 53.08 deg, I 20; 61.51 deg, I 31; 74.56 deg, I 23

Atomic structure:
```
data_DyAgTe2
_chemical_formula_sum 'Dy2 Ag2 Te4'
_cell_length_a 7.1155
_cell_length_b 7.1155
_cell_length_c 4.7375
_cell_angle_alpha 90.00
_cell_angle_beta 90.00
_cell_angle_gamma 90.00
_symmetry_space_group_name_H-M 'P 1'
_symmetry_Int_Tables_number 1
_symmetry_space_group_name_Hall 'P 1'
loop_
_atom_site_label
_atom_site_fract_x
_atom_site_fract_y
_atom_site_fract_z
Dy1 0.0000 0.5000 0.1910
Dy2 0.5000 0.0000 0.8090
Ag1 0.0000 0.0000 0.0000
Ag2 0.5000 0.5000 0.0000
Te1 0.2018 0.2982 0.7094
Te2 0.2982 0.7982 0.2906
Te3 0.7018 0.2018 0.2906
Te4 0.7982 0.7018 0.7094
```

---

5.
Diffraction record for K4BaSi3O9. The powder diffraction line list is theoretical, not measured: it uses the GGA-PBE geometry in the Materials Project and Cu Kα (weighted mean of Kα1 and Kα2).
Peak positions follow from Bragg's law for the DFT cell and can differ from measured ones.

Most intense lines, 2θ from 15° to 90°, by angle:
20.57 deg, I 32; 29.40 deg, I 39; 31.07 deg, I 100; 31.66 deg, I 28; 33.52 deg, I 13; 37.17 deg, I 14; 39.00 deg, I 13; 43.78 deg, I 25; 45.25 deg, I 11; 56.03 deg, I 12

Atomic structure:
```
data_K4BaSi3O9
_chemical_formula_sum 'K8 Ba2 Si6 O18'
_cell_length_a 11.3035
_cell_length_b 7.2724
_cell_length_c 7.2724
_cell_angle_alpha 66.89
_cell_angle_beta 90.00
_cell_angle_gamma 90.00
_symmetry_space_group_name_H-M 'P 1'
_symmetry_Int_Tables_number 1
_symmetry_space_group_name_Hall 'P 1'
loop_
_atom_site_label
_atom_site_fract_x
_atom_site_fract_y
_atom_site_fract_z
K1 0.0000 0.0000 0.0000
K2 0.0000 0.4955 0.4955
K3 0.2500 0.8001 0.7102
K4 0.2500 0.8027 0.2173
K5 0.5000 0.0000 0.0000
K6 0.5000 0.4955 0.4955
K7 0.7500 0.2173 0.8027
K8 0.7500 0.7102 0.8001
Ba1 0.2500 0.2868 0.2934
Ba2 0.7500 0.2934 0.2868
Si1 0.0221 0.5232 0.9418
Si2 0.2500 0.3313 0.7818
Si3 0.4779 0.5232 0.9418
Si4 0.5221 0.9418 0.5232
Si5 0.7500 0.7818 0.3313
Si6 0.9779 0.9418 0.5232
O1 0.0000 0.7304 0.7304
O2 0.0736 0.5865 0.1164
O3 0.0971 0.9817 0.3904
O4 0.1325 0.3941 0.8887
O5 0.2500 0.0930 0.8443
O6 0.2500 0.4704 0.5453
O7 0.3675 0.3941 0.8887
O8 0.4029 0.9817 0.3904
O9 0.4264 0.5865 0.1164
O10 0.5000 0.7304 0.7304
O11 0.5736 0.1164 0.5865
O12 0.5971 0.3904 0.9817
O13 0.6325 0.8887 0.3941
O14 0.7500 0.5453 0.4704
O15 0.7500 0.8443 0.0930
O16 0.8675 0.8887 0.3941
O17 0.9029 0.3904 0.9817
O18 0.9264 0.1164 0.5865
```